Entry 1:
Be7C5: simulated PXRD pattern (CuKα), based on a DFT-relaxed cell (GGA-PBE, Alexandria).

The 12 most intense peaks (5 to 70 degrees two-theta), in order of rising 2θ:
- 22.4 deg, rel. 64
- 30.1 deg, rel. 59
- 40.6 deg, rel. 73
- 45.6 deg, rel. 17
- 48.1 deg, rel. 22
- 49.0 deg, rel. 23
- 53.6 deg, rel. 18
- 57.8 deg, rel. 100
- 60.7 deg, rel. 11
- 62.5 deg, rel. 16
- 63.2 deg, rel. 10
- 64.7 deg, rel. 25

Structure:
Cell lengths 5.3527, 5.3527, 5.9414 Å; angles 90.00, 90.00, 90.00 degrees
Space group I4mm (No. 107)
Asymmetric unit:
Be1 0.0000 0.0000 0.0000 [2 per cell]
Be2 0.0000 0.2634 0.6870 [8 per cell]
Be3 0.0000 0.5000 0.4370 [4 per cell]
C1 0.0000 0.0000 0.3020 [2 per cell]
C2 0.2109 0.2109 0.4205 [8 per cell]

---

Entry 2:
BeCdC: simulated PXRD pattern (CuKα), based on a DFT-relaxed cell (GGA-PBE, Alexandria).

The 12 most intense peaks (5 to 70 degrees two-theta), in order of rising 2θ:
- 9.7 deg, rel. 100
- 29.3 deg, rel. 48
- 30.3 deg, rel. 36
- 32.4 deg, rel. 29
- 34.9 deg, rel. 32
- 35.2 deg, rel. 21
- 37.4 deg, rel. 25
- 37.5 deg, rel. 25
- 38.1 deg, rel. 32
- 41.3 deg, rel. 18
- 43.3 deg, rel. 15
- 56.6 deg, rel. 15

Structure:
Cell lengths 2.8780, 3.2888, 9.2670 Å; angles 83.29, 81.29, 64.11 degrees
Space group P-1 (No. 2)
Asymmetric unit:
Be1 0.1053 0.2100 0.0798 [2 per cell]
Cd1 0.3717 0.4073 0.3487 [2 per cell]
C1 0.4076 0.6178 0.0684 [2 per cell]

---

Entry 3:
Ce2ErBeC2: simulated PXRD pattern (CuKα), based on a DFT-relaxed cell (GGA-PBE, Alexandria).

The 12 most intense peaks (5 to 70 degrees two-theta), in order of rising 2θ:
- 18.3 deg, rel. 11
- 26.4 deg, rel. 23
- 29.0 deg, rel. 49
- 31.8 deg, rel. 18
- 33.4 deg, rel. 27
- 34.3 deg, rel. 100
- 43.1 deg, rel. 17
- 46.8 deg, rel. 15
- 47.9 deg, rel. 21
- 59.6 deg, rel. 18
- 60.1 deg, rel. 11
- 60.3 deg, rel. 33

Structure:
Cell lengths 5.3627, 11.2541, 3.5432 Å; angles 90.00, 90.00, 90.00 degrees
Space group Pnnm (No. 58)
Asymmetric unit:
Ce1 0.0090 0.2135 0.0000 [4 per cell]
Er1 0.0000 0.5000 0.5000 [2 per cell]
Be1 0.0000 0.0000 0.5000 [2 per cell]
C1 0.2359 0.1033 0.5000 [4 per cell]

---

Entry 4:
Ce2HoBeC2: simulated PXRD pattern (CuKα), based on a DFT-relaxed cell (GGA-PBE, Alexandria).

The 12 most intense peaks (5 to 70 degrees two-theta), in order of rising 2θ:
- 18.3 deg, rel. 10
- 26.3 deg, rel. 23
- 29.0 deg, rel. 49
- 31.8 deg, rel. 17
- 33.4 deg, rel. 28
- 34.2 deg, rel. 100
- 43.0 deg, rel. 17
- 46.7 deg, rel. 15
- 47.8 deg, rel. 21
- 59.5 deg, rel. 18
- 60.0 deg, rel. 11
- 60.1 deg, rel. 33

Structure:
Cell lengths 5.3701, 11.2682, 3.5551 Å; angles 90.00, 90.00, 90.00 degrees
Space group Pnnm (No. 58)
Asymmetric unit:
Ce1 0.0067 0.2131 0.0000 [4 per cell]
Ho1 0.0000 0.5000 0.5000 [2 per cell]
Be1 0.0000 0.0000 0.5000 [2 per cell]
C1 0.2338 0.1041 0.5000 [4 per cell]

---

Entry 5:
BeTcRuCCl: simulated PXRD pattern (CuKα), based on a DFT-relaxed cell (GGA-PBE, Alexandria).

The 12 most intense peaks (5 to 70 degrees two-theta), in order of rising 2θ:
- 11.3 deg, rel. 100
- 31.6 deg, rel. 86
- 34.4 deg, rel. 30
- 35.7 deg, rel. 40
- 42.7 deg, rel. 38
- 46.1 deg, rel. 42
- 46.5 deg, rel. 9
- 50.6 deg, rel. 33
- 51.9 deg, rel. 27
- 57.5 deg, rel. 9
- 62.5 deg, rel. 9
- 64.9 deg, rel. 14

Structure:
Cell lengths 2.8744, 2.8747, 15.6208 Å; angles 90.00, 90.00, 90.00 degrees
Space group Imm2 (No. 44)
Asymmetric unit:
Be1 0.0000 0.0000 0.0000 [2 per cell]
Tc1 0.0000 0.5000 0.7597 [2 per cell]
Ru1 0.0000 0.0000 0.4045 [2 per cell]
C1 0.0000 0.5000 0.3062 [2 per cell]
Cl1 0.0000 0.5000 0.6043 [2 per cell]

---

Entry 6:
BeTcRuCCl: simulated PXRD pattern (CuKα), based on a DFT-relaxed cell (GGA-PBE, Alexandria).

The 12 most intense peaks (5 to 70 degrees two-theta), in order of rising 2θ:
- 13.5 deg, rel. 100
- 26.9 deg, rel. 22
- 27.7 deg, rel. 91
- 29.8 deg, rel. 76
- 35.7 deg, rel. 69
- 41.3 deg, rel. 43
- 41.6 deg, rel. 67
- 42.5 deg, rel. 41
- 45.5 deg, rel. 20
- 49.7 deg, rel. 54
- 57.7 deg, rel. 20
- 62.9 deg, rel. 27

Structure:
Cell lengths 13.3609, 3.0770, 3.3753 Å; angles 90.00, 101.31, 90.00 degrees
Space group Cm (No. 8)
Asymmetric unit:
Be1 0.0000 0.0000 0.0000 [2 per cell]
Tc1 0.3511 0.5000 0.2101 [2 per cell]
Ru1 0.0166 0.5000 0.5385 [2 per cell]
C1 0.4232 0.0000 0.9665 [2 per cell]
Cl1 0.2030 0.5000 0.6437 [2 per cell]

---

Entry 7:
PmBe2Co2C: simulated PXRD pattern (CuKα), based on a DFT-relaxed cell (GGA-PBE, Alexandria).

The 12 most intense peaks (5 to 70 degrees two-theta), in order of rising 2θ:
- 23.6 deg, rel. 53
- 29.2 deg, rel. 54
- 34.3 deg, rel. 35
- 37.9 deg, rel. 100
- 42.0 deg, rel. 31
- 48.4 deg, rel. 31
- 54.5 deg, rel. 11
- 57.5 deg, rel. 17
- 58.3 deg, rel. 8
- 60.6 deg, rel. 26
- 63.8 deg, rel. 21
- 66.0 deg, rel. 16

Structure:
Cell lengths 3.7626, 3.7626, 5.2361 Å; angles 90.00, 90.00, 90.00 degrees
Space group P4/mmm (No. 123)
Asymmetric unit:
Pm1 0.0000 0.0000 0.0000 [1 per cell]
Be1 0.5000 0.5000 0.2511 [2 per cell]
Co1 0.0000 0.5000 0.5000 [2 per cell]
C1 0.0000 0.0000 0.5000 [1 per cell]

---

Entry 8:
CsBeZnCO: simulated PXRD pattern (CuKα), based on a DFT-relaxed cell (GGA-PBE, Alexandria).

The 12 most intense peaks (5 to 70 degrees two-theta), in order of rising 2θ:
- 23.3 deg, rel. 55
- 24.9 deg, rel. 67
- 26.7 deg, rel. 100
- 28.6 deg, rel. 91
- 29.6 deg, rel. 55
- 33.5 deg, rel. 48
- 33.7 deg, rel. 76
- 36.6 deg, rel. 98
- 38.9 deg, rel. 67
- 44.7 deg, rel. 35
- 54.3 deg, rel. 32
- 59.3 deg, rel. 40

Structure:
Cell lengths 12.7240, 3.4579, 3.8909 Å; angles 90.00, 100.66, 90.00 degrees
Space group Cm (No. 8)
Asymmetric unit:
Cs1 0.0000 0.0000 0.0000 [2 per cell]
Be1 0.2487 0.5000 0.3142 [2 per cell]
Zn1 0.2407 0.0000 0.7460 [2 per cell]
C1 0.2901 0.0000 0.2646 [2 per cell]
O1 0.1513 0.5000 0.5242 [2 per cell]

---

Entry 9:
CsBeZnCO: simulated PXRD pattern (CuKα), based on a DFT-relaxed cell (GGA-PBE, Alexandria).

The 12 most intense peaks (5 to 70 degrees two-theta), in order of rising 2θ:
- 12.4 deg, rel. 28
- 24.4 deg, rel. 70
- 25.0 deg, rel. 100
- 26.0 deg, rel. 47
- 30.3 deg, rel. 89
- 31.0 deg, rel. 53
- 31.9 deg, rel. 37
- 34.6 deg, rel. 95
- 42.7 deg, rel. 37
- 43.7 deg, rel. 35
- 51.1 deg, rel. 37
- 51.4 deg, rel. 29

Structure:
Cell lengths 14.5667, 3.7728, 3.5619 Å; angles 90.00, 102.42, 90.00 degrees
Space group Cm (No. 8)
Asymmetric unit:
Cs1 0.0000 0.0000 0.0000 [2 per cell]
Be1 0.1953 0.5000 0.7422 [2 per cell]
Zn1 0.2618 0.0000 0.3052 [2 per cell]
C1 0.2484 0.5000 0.2706 [2 per cell]
O1 0.0946 0.5000 0.5776 [2 per cell]

---

Entry 10:
Dy3BeC2: simulated PXRD pattern (CuKα), based on a DFT-relaxed cell (GGA-PBE, Alexandria).

The 12 most intense peaks (5 to 70 degrees two-theta), in order of rising 2θ:
- 17.9 deg, rel. 52
- 24.4 deg, rel. 23
- 27.3 deg, rel. 38
- 32.1 deg, rel. 94
- 33.4 deg, rel. 45
- 33.6 deg, rel. 100
- 36.2 deg, rel. 97
- 41.8 deg, rel. 20
- 43.0 deg, rel. 27
- 56.4 deg, rel. 51
- 61.5 deg, rel. 45
- 64.3 deg, rel. 26

Structure:
Cell lengths 6.7762, 8.6505, 7.3072 Å; angles 90.00, 90.00, 90.00 degrees
Space group Imma (No. 74)
Asymmetric unit:
Dy1 0.0000 0.2500 0.0380 [4 per cell]
Dy2 0.2500 0.0466 0.7500 [8 per cell]
Be1 0.0000 0.2500 0.4336 [4 per cell]
C1 0.0000 0.2500 0.6838 [4 per cell]
C2 0.2500 0.2500 0.2500 [4 per cell]

---

Entry 11:
Dy2HoBeC2: simulated PXRD pattern (CuKα), based on a DFT-relaxed cell (GGA-PBE, Alexandria).

The 12 most intense peaks (5 to 70 degrees two-theta), in order of rising 2θ:
- 26.0 deg, rel. 26
- 29.6 deg, rel. 58
- 32.8 deg, rel. 12
- 33.1 deg, rel. 30
- 34.1 deg, rel. 100
- 42.6 deg, rel. 19
- 47.3 deg, rel. 11
- 48.7 deg, rel. 23
- 50.5 deg, rel. 11
- 59.6 deg, rel. 16
- 59.8 deg, rel. 20
- 60.2 deg, rel. 21

Structure:
Cell lengths 5.4062, 10.9154, 3.6140 Å; angles 90.00, 90.00, 90.00 degrees
Space group Pnnm (No. 58)
Asymmetric unit:
Dy1 0.9997 0.2058 0.0000 [4 per cell]
Ho1 0.0000 0.5000 0.5000 [2 per cell]
Be1 0.0000 0.0000 0.5000 [2 per cell]
C1 0.2337 0.1079 0.5000 [4 per cell]